For SiNi3Mo2, a cell relaxed with PBE gives the theoretical PXRD pattern in this record (a wavelength of 1.5418 Å).
Intensities are scaled so that the largest is 100.

Top 6 peaks for 2θ from 10° to 90°, low angle first:
2θ/deg  intensity  hkl
37.68  33.6  0 2 0
38.15  46.6  0 1 3
41.99  85.0  3 1 1
44.89  38.7  2 2 0
45.30  100.0  2 1 3
45.66  57.2  1 2 2

Structural model:
Cell lengths 7.5705, 4.7743, 8.1385 Å; angles 90.00, 90.00, 90.00 degrees
Space group Amm2 (No. 38)
Unique sites:
Si: 0.0000 0.2466 0.0000 [4 per cell]
Ni: 0.0000 0.0000 0.7643 [2 per cell]
Ni: 0.2410 0.0000 0.5758 [4 per cell]
Ni: 0.5000 0.0000 0.4129 [2 per cell]
Ni: 0.5000 0.2460 0.1673 [4 per cell]
Mo: 0.1891 0.0000 0.2455 [4 per cell]
Mo: 0.3171 0.0000 0.9175 [4 per cell]